This entry pairs a crystal structure of Mg6GaC with its simulated powder XRD pattern. Radiation: Cu Kα, 1.54184 Å. Structure: the PBE geometry in the Materials Project.
No peak broadening, texture or thermal motion is included.

Peak list (6 most intense, 2θ from 10° to 90°, in order of rising 2θ)
d/Å  Rel. int.  index
3.489  25  1 1 1
3.200  21  0 1 3
2.850  26  0 0 4
2.431  32  1 0 4
2.330  32  2 0 0
2.291  100  1 2 2

Structural model:
```
data_Mg6GaC
_chemical_formula_sum 'Mg12 Ga2 C2'
_cell_length_a 4.6593
_cell_length_b 5.9333
_cell_length_c 11.3990
_cell_angle_alpha 90.00
_cell_angle_beta 90.00
_cell_angle_gamma 90.00
_symmetry_space_group_name_H-M 'A m m 2'
_symmetry_Int_Tables_number 38
_symmetry_space_group_name_Hall 'A 2 -2'
loop_
_atom_site_label
_atom_site_type_symbol
_atom_site_fract_x
_atom_site_fract_y
_atom_site_fract_z
_atom_site_occupancy
Mg1 Mg 0.0000 0.0000 0.0000 1
Mg2 Mg 0.0000 0.2266 0.2681 1
Mg3 Mg 0.5000 0.0000 0.8338 1
Mg4 Mg 0.5000 0.2467 0.5879 1
Ga1 Ga 0.0000 0.0000 0.5327 1
C1 C 0.5000 0.0000 0.2326 1
```

This entry pairs a crystal structure of Mg6GaC with its simulated powder XRD pattern. Radiation: Cu Kα, 1.54184 Å. Structure: the PBE geometry in the Materials Project.
No peak broadening, texture or thermal motion is included.

Peak list (6 most intense, 2θ from 10° to 90°, in order of rising 2θ)
d/Å  Rel. int.  index
6.281  38  0 1 1
3.268  34  1 1 1
2.666  27  0 3 1
2.428  100  1 2 2
2.392  23  0 0 4
2.350  42  1 1 3

Structural model:
```
data_Mg6GaC
_chemical_formula_sum 'Mg12 Ga2 C2'
_cell_length_a 3.8272
_cell_length_b 8.3272
_cell_length_c 9.5672
_cell_angle_alpha 90.00
_cell_angle_beta 90.00
_cell_angle_gamma 90.00
_symmetry_space_group_name_H-M 'A m m 2'
_symmetry_Int_Tables_number 38
_symmetry_space_group_name_Hall 'A 2 -2'
loop_
_atom_site_label
_atom_site_type_symbol
_atom_site_fract_x
_atom_site_fract_y
_atom_site_fract_z
_atom_site_occupancy
Mg1 Mg 0.0000 0.0000 0.0000 1
Mg2 Mg 0.0000 0.0000 0.4294 1
Mg3 Mg 0.0000 0.1765 0.7039 1
Mg4 Mg 0.5000 0.2419 0.4651 1
Ga1 Ga 0.5000 0.0000 0.2072 1
C1 C 0.5000 0.0000 0.5792 1
```

- What is the formula in the second record?
  Mg6GaC